Calculated powder diffraction line list of Ba3PCl3 for Cu Kα, 1.54184 Å, from a DFT-relaxed cell (PBE, Alexandria).
No peak broadening, texture or thermal motion is included.

Crystal structure
Cell: 9.3167 9.3167 9.3167 Å, 121.45 118.80 89.80°
Positions (direct):
Ba 0.2542 0.0042 0.2500
Ba 0.2753 0.0000 0.7753
Ba 0.2753 0.5000 0.2753
Ba 0.7247 0.0000 0.2247
Ba 0.7247 0.5000 0.7247
Ba 0.7458 0.9958 0.7500
P 0.4829 0.2329 0.2500
P 0.5171 0.7671 0.7500
Cl 0.0000 0.2246 0.2246
Cl 0.0000 0.7754 0.7754
Cl 0.0094 0.7594 0.2500
Cl 0.5000 0.2246 0.7246
Cl 0.5000 0.7754 0.2754
Cl 0.9906 0.2406 0.7500

Top 12 peaks for 10 to 80 degrees two-theta, sorted by position:
two_theta	I (rel.)
11.80	58
22.18	19
23.09	30
23.73	33
27.02	53
27.14	100
37.95	17
38.67	74
39.56	18
47.20	18
48.55	21
63.05	16


Calculated powder diffraction line list of Sn3Hg2Sb2 for Cu Kα, 1.54184 Å, from a DFT-relaxed cell (PBE, Alexandria).
No peak broadening, texture or thermal motion is included.

Crystal structure
Cell: 4.4047 5.9431 8.3578 Å, 95.63 105.03 90.51°
Positions (direct):
Sn 0.0000 0.0000 0.0000
Sn 0.2132 0.2211 0.4401
Sn 0.7868 0.7789 0.5599
Hg 0.4311 0.6700 0.8663
Hg 0.5689 0.3300 0.1337
Sb 0.1624 0.6972 0.3028
Sb 0.8376 0.3028 0.6972

Top 12 peaks for 10 to 80 degrees two-theta, sorted by position:
two_theta	I (rel.)
25.49	69
26.12	51
26.25	54
30.24	37
31.15	100
31.24	86
34.51	31
35.35	51
38.86	45
39.21	43
40.98	64
49.45	26